Structure and simulated X-ray powder pattern of YbNi5 (a cell relaxed with PBE; Cu Kα, 1.54184 Å).
Neutral-atom scattering factors, no anomalous dispersion.

Largest 10 diffraction maxima, in order of rising 2θ, 2θ = 10–80°:
| Position (°2θ) | intensity | (hkl) |
| --- | --- | --- |
| 30.95 | 55 | 1 0 1 |
| 36.61 | 34 | 1 1 0 |
| 42.53 | 36 | 2 0 0 |
| 43.44 | 100 | 1 1 1 |
| 46.08 | 26 | 0 0 2 |
| 60.24 | 16 | 1 1 2 |
| 62.42 | 15 | 2 1 1 |
| 64.50 | 20 | 2 0 2 |
| 70.64 | 22 | 3 0 1 |
| 77.83 | 15 | 2 2 0 |

Crystal structure
Cell lengths 4.909, 4.909, 3.940 Å; angles 90.00, 90.00, 120.00 degrees
Fractional coordinates of all 6 atoms:
Yb: 0.000 0.000 0.000
Ni: 0.000 0.500 0.500
Ni: 0.333 0.667 0.000
Ni: 0.500 0.000 0.500
Ni: 0.500 0.500 0.500
Ni: 0.667 0.333 0.000